[1]
Simulated X-ray powder pattern of RbLaSn2Br8 for copper Kα, from a crystal structure in Alexandria, relaxed with GGA-PBE.
Intensities are scaled so that the largest is 100.

Structure:
```
data_RbLaSn2Br8
_chemical_formula_sum 'Rb1 La1 Sn2 Br8'
_cell_length_a 6.922
_cell_length_b 7.394
_cell_length_c 9.579
_cell_angle_alpha 86.09
_cell_angle_beta 87.20
_cell_angle_gamma 88.00
_symmetry_space_group_name_H-M 'P -1'
_symmetry_Int_Tables_number 2
_symmetry_space_group_name_Hall '-P 1'
loop_
_atom_site_label
_atom_site_type_symbol
_atom_site_fract_x
_atom_site_fract_y
_atom_site_fract_z
Rb1 Rb 0.000 0.000 0.000
La1 La 0.000 0.000 0.500
Sn1 Sn 0.489 0.486 0.246
Br1 Br 0.242 0.830 0.281
Br2 Br 0.244 0.329 0.472
Br3 Br 0.260 0.853 0.719
Br4 Br 0.270 0.376 0.040
```

Top 10 peaks for 10° ≤ 2θ ≤ 80°, in order of rising 2θ:
2θ 17.31, rel. 100
2θ 17.87, rel. 82
2θ 23.14, rel. 48
2θ 27.05, rel. 49
2θ 27.79, rel. 52
2θ 32.80, rel. 57
2θ 34.79, rel. 48
2θ 35.07, rel. 78
2θ 37.69, rel. 51
2θ 40.13, rel. 46

***

[2]
Simulated X-ray powder pattern of SmPuRhI for copper Kα, from a crystal structure in Alexandria, relaxed with GGA-PBE.
Intensities are scaled so that the largest is 100.

Structure:
```
data_SmPuRhI
_chemical_formula_sum 'Sm3 Pu3 Rh3 I3'
_cell_length_a 4.0519
_cell_length_b 4.0519
_cell_length_c 24.4590
_cell_angle_alpha 90.00
_cell_angle_beta 90.00
_cell_angle_gamma 120.00
_symmetry_space_group_name_H-M 'R 3 m'
_symmetry_Int_Tables_number 160
_symmetry_space_group_name_Hall 'R 3 -2"'
loop_
_atom_site_label
_atom_site_type_symbol
_atom_site_fract_x
_atom_site_fract_y
_atom_site_fract_z
Sm1 Sm 0.0000 0.0000 0.0000
Pu1 Pu 0.0000 0.0000 0.7927
Rh1 Rh 0.0000 0.0000 0.4005
I1 I 0.0000 0.0000 0.2319
```

Top 10 peaks for 10° ≤ 2θ ≤ 80°, in order of rising 2θ:
2θ 10.85, rel. 27
2θ 26.42, rel. 28
2θ 29.35, rel. 35
2θ 31.37, rel. 100
2θ 36.28, rel. 18
2θ 44.73, rel. 47
2θ 45.19, rel. 21
2θ 55.65, rel. 20
2θ 56.67, rel. 17
2θ 74.06, rel. 17